For Lu2GaC, the GGA-PBE geometry in Alexandria gives the computed powder XRD pattern in this record (Cu Ka).
Lines closer than 0.1° are merged.

Atomic structure:
a b c (Å): 3.4853 3.4853 22.6057
angles (deg): 90.00 90.00 120.00
Space group R-3m (No. 166, hexagonal axes)
Asymmetric unit:
Lu: 0.0000 0.0000 0.2248 (multiplicity 6)
Ga: 0.0000 0.0000 0.0000 (multiplicity 3)
C: 0.0000 0.0000 0.5000 (multiplicity 3)

Largest 10 diffraction maxima, low angle first, 2θ = 15–90°:
29.86 deg, 2.992 Å, I 14, (1 0 1); 30.66 deg, 2.916 Å, I 57, (0 1 2); 33.66 deg, 2.662 Å, I 100, (1 0 4); 35.76 deg, 2.511 Å, I 97, (0 0 9); 40.93 deg, 2.205 Å, I 27, (1 0 7); 52.51 deg, 1.743 Å, I 40, (1 1 0); 53.98 deg, 1.699 Å, I 19, (0 1 11); 61.55 deg, 1.507 Å, I 22, (1 0 13); 63.84 deg, 1.458 Å, I 16, (0 2 4); 65.16 deg, 1.432 Å, I 48, (1 1 9)

For Ce6PSe5, the GGA-PBE geometry in Alexandria gives the computed powder XRD pattern in this record (Cu Ka).
Lines closer than 0.1° are merged.

Atomic structure:
a b c (Å): 7.247 12.553 7.244
angles (deg): 90.00 109.50 90.00
Space group C2/m (No. 12)
Asymmetric unit:
Ce: 0.242 0.000 0.255 (multiplicity 4)
Ce: 0.243 0.162 0.743 (multiplicity 8)
P: 0.000 0.000 0.500 (multiplicity 2)
Se: 0.000 0.170 0.000 (multiplicity 4)
Se: 0.000 0.334 0.500 (multiplicity 4)
Se: 0.000 0.500 0.000 (multiplicity 2)

Largest 10 diffraction maxima, low angle first, 2θ = 15–90°:
26.09 deg, 3.416 Å, I 19, (0 0 2); 30.21 deg, 2.958 Å, I 100, (1 3 1); 43.25 deg, 2.092 Å, I 74, (1 3 -3); 51.21 deg, 1.784 Å, I 9, (2 0 -4); 53.67 deg, 1.708 Å, I 26, (0 0 4); 62.83 deg, 1.479 Å, I 12, (4 0 -4); 69.22 deg, 1.357 Å, I 4, (1 3 -5); 71.29 deg, 1.323 Å, I 32, (3 3 -5); 79.34 deg, 1.208 Å, I 24, (2 0 -6); 85.23 deg, 1.139 Å, I 3, (4 0 -6)

For NaYCl4, the GGA-PBE geometry in Alexandria gives the computed powder XRD pattern in this record (Cu Ka).
Lines closer than 0.1° are merged.

Atomic structure:
a b c (Å): 6.779 6.818 7.075
angles (deg): 88.67 86.72 77.42
Space group P-1 (No. 2)
Asymmetric unit:
Na: 0.228 0.194 0.027 (multiplicity 2)
Y: 0.211 0.698 0.448 (multiplicity 2)
Cl: 0.036 0.504 0.740 (multiplicity 2)
Cl: 0.096 0.003 0.703 (multiplicity 2)
Cl: 0.393 0.802 0.141 (multiplicity 2)
Cl: 0.443 0.320 0.375 (multiplicity 2)

Largest 10 diffraction maxima, low angle first, 2θ = 15–90°:
16.73 deg, 5.298 Å, I 54, (1 1 0); 18.22 deg, 4.870 Å, I 56, (0 1 1); 20.90 deg, 4.250 Å, I 44, (1 -1 0); 21.48 deg, 4.137 Å, I 100, (1 1 -1); 29.24 deg, 3.054 Å, I 50, (2 0 1); 29.56 deg, 3.022 Å, I 51, (2 1 1); 31.15 deg, 2.871 Å, I 71, (1 1 -2); 36.78 deg, 2.444 Å, I 57, (1 2 2); 38.26 deg, 2.353 Å, I 50, (2 0 -2); 42.57 deg, 2.124 Å, I 73, (2 -2 0)

For HfThZnGa, the GGA-PBE geometry in Alexandria gives the computed powder XRD pattern in this record (Cu Ka).
Lines closer than 0.1° are merged.

Atomic structure:
a b c (Å): 7.044 7.044 7.044
angles (deg): 90.00 90.00 90.00
Space group F-43m (No. 216)
Asymmetric unit:
Hf: 0.000 0.000 0.000 (multiplicity 4)
Th: 0.000 0.000 0.500 (multiplicity 4)
Zn: 0.250 0.250 0.750 (multiplicity 4)
Ga: 0.250 0.250 0.250 (multiplicity 4)

Largest 10 diffraction maxima, low angle first, 2θ = 15–90°:
21.85 deg, 4.067 Å, I 2, (1 1 1); 25.29 deg, 3.522 Å, I 27, (2 0 0); 36.06 deg, 2.491 Å, I 100, (2 2 0); 44.56 deg, 2.034 Å, I 8, (2 2 2); 51.92 deg, 1.761 Å, I 18, (4 0 0); 58.61 deg, 1.575 Å, I 11, (4 2 0); 64.84 deg, 1.438 Å, I 36, (4 2 2); 76.50 deg, 1.245 Å, I 11, (4 4 0); 82.09 deg, 1.174 Å, I 6, (6 0 0); 87.60 deg, 1.114 Å, I 16, (6 2 0)